The following is a computed powder X-ray diffraction pattern of Nd5Er12Th2. It was derived from a PBE-relaxed structure, using Cu Kα X-rays.
Peak positions follow from Bragg's law for the DFT cell and can differ from measured ones.

Atomic structure:
```
Nd5Er12Th2
1.0
7.7808 -4.6843 0.0000
7.7808 4.6843 0.0000
-0.3746 0.0000 8.6173
Nd Er Th
5 12 2
Direct
0.0000 0.0000 0.0000
0.2317 0.2317 0.0693
0.2957 0.2957 0.4783
0.7043 0.7043 0.5217
0.7683 0.7683 0.9307
0.0307 0.6752 0.2577
0.0743 0.0743 0.3776
0.1799 0.5609 0.8322
0.3248 0.9693 0.7423
0.4391 0.8201 0.1678
0.4437 0.4437 0.1686
0.5563 0.5563 0.8314
0.5609 0.1799 0.8322
0.6752 0.0307 0.2577
0.8201 0.4391 0.1678
0.9257 0.9257 0.6224
0.9693 0.3248 0.7423
0.3269 0.6731 0.5000
0.6731 0.3269 0.5000
```

Top 10 peaks for 5 to 70 degrees two-theta, most intense first:
31.65°, I = 100.0
31.09°, I = 43.8
32.88°, I = 41.1
30.09°, I = 37.5
35.36°, I = 34.7
58.24°, I = 18.3
35.83°, I = 17.7
29.87°, I = 16.9
55.35°, I = 15.9
59.02°, I = 15.2

=====

The following is a computed powder X-ray diffraction pattern of Nd6Er2Th. It was derived from a PBE-relaxed structure, using Cu Kα X-rays.
Peak positions follow from Bragg's law for the DFT cell and can differ from measured ones.

Atomic structure:
```
Nd6Er2Th
1.0
3.6265 0.0000 0.0000
-1.8132 3.1406 0.0000
0.0000 0.0000 27.1127
Nd Er Th
6 2 1
Direct
0.0000 0.0000 0.0667
0.0000 0.0000 0.2774
0.0000 0.0000 0.7226
0.0000 0.0000 0.9333
0.3333 0.6667 0.3910
0.3333 0.6667 0.6090
0.3333 0.6667 0.1704
0.3333 0.6667 0.8296
0.0000 0.0000 0.5000
```

Top 10 peaks for 5 to 70 degrees two-theta, most intense first:
32.96°, I = 100.0
31.39°, I = 66.4
29.65°, I = 46.9
28.42°, I = 45.2
59.50°, I = 39.6
50.32°, I = 35.9
55.77°, I = 30.2
41.54°, I = 29.2
61.50°, I = 22.6
9.79°, I = 10.5

=====

The following is a computed powder X-ray diffraction pattern of NdEr8Th4. It was derived from a PBE-relaxed structure, using Cu Kα X-rays.
Peak positions follow from Bragg's law for the DFT cell and can differ from measured ones.

Atomic structure:
```
NdEr8Th4
1.0
3.6754 2.1220 8.8311
-3.6754 2.1220 8.8311
0.0000 -4.2440 8.8311
Nd Er Th
1 8 4
Direct
0.0000 0.0000 0.0000
0.2506 0.2506 0.6884
0.2506 0.6884 0.2506
0.2787 0.2787 0.2787
0.3116 0.7494 0.7494
0.6884 0.2506 0.2506
0.7213 0.7213 0.7213
0.7494 0.3116 0.7494
0.7494 0.7494 0.3116
0.0000 0.0000 0.5000
0.0000 0.5000 0.0000
0.5000 0.0000 0.0000
0.5000 0.5000 0.5000
```

Top 10 peaks for 5 to 70 degrees two-theta, most intense first:
31.18°, I = 100.0
32.82°, I = 47.9
30.37°, I = 32.5
39.26°, I = 30.8
49.61°, I = 29.9
28.24°, I = 25.3
59.28°, I = 25.0
53.38°, I = 18.7
59.76°, I = 14.0
56.58°, I = 9.6

=====

The following is a computed powder X-ray diffraction pattern of Nd5ErTm2Th. It was derived from a PBE-relaxed structure, using Cu Kα X-rays.
Peak positions follow from Bragg's law for the DFT cell and can differ from measured ones.

Atomic structure:
```
Nd5ErTm2Th
1.0
2.7020 -10.7713 0.0000
2.7020 10.7713 0.0000
0.0000 0.0000 10.6188
Nd Er Tm Th
10 2 4 2
Direct
0.0000 0.0000 0.0000
0.0000 0.0000 0.5000
0.1253 0.8747 0.7500
0.2215 0.7785 0.0567
0.2215 0.7785 0.4433
0.4982 0.5018 0.2500
0.5018 0.4982 0.7500
0.7785 0.2215 0.5567
0.7785 0.2215 0.9433
0.8747 0.1253 0.2500
0.1015 0.8985 0.2500
0.8985 0.1015 0.7500
0.3874 0.6126 0.5032
0.3874 0.6126 0.9968
0.6126 0.3874 0.0032
0.6126 0.3874 0.4968
0.2878 0.7122 0.7500
0.7122 0.2878 0.2500
```

Top 10 peaks for 5 to 70 degrees two-theta, most intense first:
31.45°, I = 100.0
33.16°, I = 29.5
48.07°, I = 19.4
33.76°, I = 19.3
58.16°, I = 17.6
30.47°, I = 14.6
58.95°, I = 14.3
26.61°, I = 13.4
32.71°, I = 12.5
61.03°, I = 9.0